This entry pairs a crystal structure of BaTl2Pd6 with its computed powder diffractogram. Radiation: CuKα. Structure: a crystal structure in Alexandria, relaxed with GGA-PBE.
Neutral-atom scattering factors, no anomalous dispersion.

Top 10 peaks for 10 to 90 degrees two-theta, in order of rising 2θ:
- 2θ 24.46, intensity 50
- 2θ 25.56, intensity 29
- 2θ 29.60, intensity 14
- 2θ 38.76, intensity 25
- 2θ 42.36, intensity 100
- 2θ 50.13, intensity 14
- 2θ 58.76, intensity 12
- 2θ 61.45, intensity 16
- 2θ 67.16, intensity 8
- 2θ 77.48, intensity 33

Atomic structure:
Unit cell a=8.535 b=8.535 c=8.535 alpha=60.00 beta=60.00 gamma=60.00
Positions (direct):
Ba 0.125 0.125 0.125
Ba 0.875 0.875 0.875
Tl 0.000 0.500 0.500
Tl 0.500 0.000 0.500
Tl 0.500 0.500 0.000
Tl 0.500 0.500 0.500
Pd 0.117 0.117 0.633
Pd 0.117 0.633 0.117
Pd 0.117 0.633 0.633
Pd 0.367 0.367 0.883
Pd 0.367 0.883 0.367
Pd 0.367 0.883 0.883
Pd 0.633 0.117 0.117
Pd 0.633 0.117 0.633
Pd 0.633 0.633 0.117
Pd 0.883 0.367 0.367
Pd 0.883 0.367 0.883
Pd 0.883 0.883 0.367